Starting from a DFT-relaxed cell (PBE+U, Alexandria), the powder diffractogram of KNiPH2O5 was calculated for CuKα.
Lines closer than 0.1° are merged.

Structure:
Lattice parameters (Å, degrees): 5.6003 8.3451 4.7642 90.00 90.00 90.00
Atoms (fractional coordinates):
K (0.0000, 0.0425, 0.0000)
K (0.5000, 0.9575, 0.5000)
Ni (0.0000, 0.4831, 0.8734)
Ni (0.5000, 0.5169, 0.3734)
P (0.0000, 0.7094, 0.4469)
P (0.5000, 0.2906, 0.9469)
H (0.1406, 0.3094, 0.4529)
H (0.3594, 0.6906, 0.9529)
H (0.6406, 0.6906, 0.9529)
H (0.8594, 0.3094, 0.4529)
O (0.0000, 0.2923, 0.5753)
O (0.0000, 0.6789, 0.1282)
O (0.0000, 0.8895, 0.5065)
O (0.2217, 0.6242, 0.5927)
O (0.2783, 0.3758, 0.0927)
O (0.5000, 0.1105, 0.0065)
O (0.5000, 0.3211, 0.6282)
O (0.5000, 0.7077, 0.0753)
O (0.7217, 0.3758, 0.0927)
O (0.7783, 0.6242, 0.5927)

Peak list (8 most intense, 2θ = 10–90°, in order of rising 2θ)
10.60°, d 8.345, I = 832, (0 1 0)
21.48°, d 4.137, I = 265, (0 1 1)
26.79°, d 3.328, I = 207, (1 1 1)
31.96°, d 2.800, I = 429, (2 0 0)
32.71°, d 2.738, I = 1000, (1 2 1)
43.31°, d 2.089, I = 157, (2 2 1)
50.45°, d 1.809, I = 184, (0 3 2)
57.43°, d 1.604, I = 167, (3 2 1)